Record 1
Starting from a structure optimized by DFT (GGA-PBE), the XRD peak list of CrOsSe2N was calculated for λ = 1.5418 Å (Cu Kα).
Intensities are scaled so that the largest is 1000.

Structure:
```
CrOsSe2N
1.0
5.100 0.000 0.000
0.000 5.100 0.000
0.000 0.000 3.663
Cr Os Se N
1 1 2 1
direct
0.000 0.000 0.000 Cr
0.500 0.500 0.500 Os
0.000 0.500 0.500 Se
0.500 0.000 0.500 Se
0.500 0.500 0.000 N
```

Most intense lines, 2θ = 10–80°, by angle:
2θ/deg	Rel. int.
17.39	699
24.30	579
30.03	912
35.20	1000
43.23	519
46.93	539
50.63	347
62.42	364

Record 2
Starting from a structure optimized by DFT (GGA-PBE), the XRD peak list of Pa2CrN5 was calculated for λ = 1.5418 Å (Cu Kα).
Intensities are scaled so that the largest is 1000.

Structure:
```
Pa2CrN5
1.0
9.270 0.000 0.000
0.000 7.549 0.000
-2.123 0.000 6.296
Pa Cr N
8 4 20
direct
0.012 0.129 0.239 Pa
0.012 0.371 0.739 Pa
0.388 0.161 0.107 Pa
0.388 0.339 0.607 Pa
0.612 0.661 0.393 Pa
0.612 0.839 0.893 Pa
0.988 0.629 0.261 Pa
0.988 0.871 0.761 Pa
0.298 0.567 0.046 Cr
0.298 0.933 0.546 Cr
0.702 0.067 0.454 Cr
0.702 0.433 0.954 Cr
0.102 0.116 0.948 N
0.102 0.384 0.448 N
0.104 0.637 0.985 N
0.104 0.863 0.485 N
0.275 0.115 0.367 N
0.275 0.385 0.867 N
0.389 0.039 0.790 N
0.389 0.461 0.290 N
0.427 0.714 0.019 N
0.427 0.786 0.519 N
0.573 0.214 0.481 N
0.573 0.286 0.981 N
0.611 0.539 0.710 N
0.611 0.961 0.210 N
0.725 0.615 0.133 N
0.725 0.885 0.633 N
0.896 0.137 0.515 N
0.896 0.363 0.015 N
0.898 0.616 0.552 N
0.898 0.884 0.052 N
```

Most intense lines, 2θ = 10–80°, by angle:
2θ/deg	Rel. int.
15.48	408
27.55	1000
29.15	724
30.53	422
30.97	426
31.53	899
33.16	395
45.03	418

Record 3
Starting from a structure optimized by DFT (GGA-PBE), the XRD peak list of Pa3CrN7 was calculated for λ = 1.5418 Å (Cu Kα).
Intensities are scaled so that the largest is 1000.

Structure:
```
Pa3CrN7
1.0
3.855 -5.291 0.000
3.855 5.291 0.000
0.000 0.000 7.345
Pa Cr N
6 2 14
direct
0.032 0.032 0.000 Pa
0.042 0.499 0.259 Pa
0.499 0.042 0.741 Pa
0.501 0.958 0.241 Pa
0.958 0.501 0.759 Pa
0.968 0.968 0.500 Pa
0.452 0.452 0.500 Cr
0.548 0.548 0.000 Cr
0.127 0.873 0.750 N
0.132 0.398 0.988 N
0.140 0.860 0.250 N
0.191 0.428 0.546 N
0.398 0.132 0.012 N
0.428 0.191 0.454 N
0.437 0.563 0.250 N
0.563 0.437 0.750 N
0.572 0.809 0.954 N
0.602 0.868 0.512 N
0.809 0.572 0.046 N
0.860 0.140 0.750 N
0.868 0.602 0.488 N
0.873 0.127 0.250 N
```

Most intense lines, 2θ = 10–80°, by angle:
2θ/deg	Rel. int.
14.21	260
28.65	1000
29.61	983
33.71	511
33.89	241
48.55	485
56.67	197
58.33	295

Record 4
Starting from a structure optimized by DFT (GGA-PBE), the XRD peak list of RbPa3Cr4N12 was calculated for λ = 1.5418 Å (Cu Kα).
Intensities are scaled so that the largest is 1000.

Structure:
```
RbPa3Cr4N12
1.0
5.669 3.273 3.009
-5.669 3.273 3.009
0.000 -6.546 3.009
Rb Pa Cr N
1 3 4 12
direct
0.000 0.000 0.000 Rb
0.000 0.554 0.446 Pa
0.446 0.000 0.554 Pa
0.554 0.446 0.000 Pa
0.053 0.500 0.947 Cr
0.500 0.500 0.500 Cr
0.500 0.947 0.053 Cr
0.947 0.053 0.500 Cr
0.026 0.614 0.767 N
0.104 0.896 0.500 N
0.233 0.386 0.974 N
0.348 0.652 0.500 N
0.386 0.974 0.233 N
0.500 0.104 0.896 N
0.500 0.348 0.652 N
0.614 0.767 0.026 N
0.652 0.500 0.348 N
0.767 0.026 0.614 N
0.896 0.500 0.104 N
0.974 0.233 0.386 N
```

Most intense lines, 2θ = 10–80°, by angle:
2θ/deg	Rel. int.
15.63	370
20.59	476
25.96	336
26.83	1000
31.56	295
34.39	386
38.61	264
44.16	242

Record 5
Starting from a structure optimized by DFT (GGA-PBE), the XRD peak list of ThPaCrN4 was calculated for λ = 1.5418 Å (Cu Kα).
Intensities are scaled so that the largest is 1000.

Structure:
```
ThPaCrN4
1.0
-1.869 1.869 6.269
1.869 -1.869 6.269
1.869 1.869 -6.269
Th Pa Cr N
1 1 1 4
direct
0.000 0.000 0.000 Th
0.716 0.716 0.000 Pa
0.347 0.347 0.000 Cr
0.184 0.184 0.000 N
0.351 0.851 0.500 N
0.540 0.540 0.000 N
0.851 0.351 0.500 N
```

Most intense lines, 2θ = 10–80°, by angle:
2θ/deg	Rel. int.
24.85	470
28.48	207
32.12	1000
33.91	602
44.85	336
48.71	263
57.02	183
59.55	361

Record 6
Starting from a structure optimized by DFT (GGA-PBE), the XRD peak list of Pa2TiCrN6 was calculated for λ = 1.5418 Å (Cu Kα).
Intensities are scaled so that the largest is 1000.

Structure:
```
Pa2TiCrN6
1.0
5.272 0.000 0.000
0.000 5.272 0.000
0.000 0.000 4.668
Pa Ti Cr N
2 1 1 6
direct
0.000 0.500 0.000 Pa
0.500 0.000 0.000 Pa
0.000 0.000 0.586 Ti
0.500 0.500 0.588 Cr
0.000 0.000 0.190 N
0.255 0.255 0.735 N
0.255 0.745 0.735 N
0.500 0.500 0.221 N
0.745 0.255 0.735 N
0.745 0.745 0.735 N
```

Most intense lines, 2θ = 10–80°, by angle:
2θ/deg	Rel. int.
19.01	389
23.87	326
30.69	1000
34.01	374
39.25	265
45.87	230
52.36	228
58.81	322